Simulated powder X-ray diffraction pattern
Compound: SmDy2Rh2
Radiation: Cu Kα
Structure: a structure optimized by DFT (GGA-PBE)
Neutral-atom scattering factors, no anomalous dispersion.

Principal peaks in the range 2θ from 10° to 80°, by angle:
(hkl)	2θ/deg	I/Imax
0 2 2	26.1	24
1 1 1	26.4	59
0 4 2	31.9	26
0 6 1	33.8	100
1 5 0	35.1	69
1 3 2	37.0	78
1 5 1	37.2	45
0 2 3	37.7	34
2 0 0	46.9	35
2 6 1	59.1	20

Structural model:
abc: 3.8764 16.9956 7.4595
angles: 90.00 90.00 90.00
Space group Cmc2_1 (No. 36)
Inequivalent atoms, fractional coordinates:
Sm 0.0000 0.1250 0.0000 (multiplicity 4)
Dy 0.0000 0.3137 0.1116 (multiplicity 4)
Dy 0.0000 0.4688 0.8329 (multiplicity 4)
Rh 0.0000 0.0516 0.6321 (multiplicity 4)
Rh 0.0000 0.3030 0.7243 (multiplicity 4)



Simulated powder X-ray diffraction pattern
Compound: HoZrSb2
Radiation: Cu Kα
Structure: a structure optimized by DFT (GGA-PBE)
Neutral-atom scattering factors, no anomalous dispersion.

Principal peaks in the range 2θ from 10° to 80°, by angle:
(hkl)	2θ/deg	I/Imax
1 0 4	29.8	100
0 1 8	42.3	38
1 1 0	42.9	37
0 0 12	52.1	7
0 2 4	53.1	19
2 0 8	61.8	12
1 1 12	69.7	16
2 1 4	70.6	16
1 2 8	78.2	12
3 0 0	78.6	6

Structural model:
abc: 4.2147 4.2147 21.0754
angles: 90.00 90.00 120.00
Space group R-3m (No. 166, hexagonal axes)
Inequivalent atoms, fractional coordinates:
Ho 0.0000 0.0000 0.0000 (multiplicity 3)
Zr 0.0000 0.0000 0.5000 (multiplicity 3)
Sb 0.0000 0.0000 0.2461 (multiplicity 6)



Simulated powder X-ray diffraction pattern
Compound: Sm2Y2Sb3
Radiation: Cu Kα
Structure: a structure optimized by DFT (GGA-PBE)
Neutral-atom scattering factors, no anomalous dispersion.

Principal peaks in the range 2θ from 10° to 80°, by angle:
(hkl)	2θ/deg	I/Imax
3 1 0	30.4	100
3 2 1	36.1	67
4 2 0	43.5	13
3 3 2	45.7	10
4 2 2	47.9	15
4 1 3	50.0	21
6 1 1	61.4	26
6 2 0	63.2	11
5 4 1	65.0	14
7 1 2	75.0	15

Structural model:
abc: 9.3036 9.3036 9.3036
angles: 90.00 90.00 90.00
Space group I2_13 (No. 199)
Inequivalent atoms, fractional coordinates:
Sm 0.0732 0.0732 0.0732 (multiplicity 8)
Y 0.1798 0.3202 0.6798 (multiplicity 8)
Sb 0.0000 0.2500 0.3792 (multiplicity 12)



Simulated powder X-ray diffraction pattern
Compound: Er2CoC4
Radiation: Cu Kα
Structure: a structure optimized by DFT (GGA-PBE)
Neutral-atom scattering factors, no anomalous dispersion.

Principal peaks in the range 2θ from 10° to 80°, by angle:
(hkl)	2θ/deg	I/Imax
1 2 1	28.5	100
1 3 0	30.7	44
2 1 1	31.4	79
0 0 2	35.8	25
3 1 0	37.5	30
1 1 2	39.1	24
3 3 0	46.6	16
0 4 2	53.1	23
2 5 1	57.5	20
3 3 2	60.1	32

Structural model:
abc: 7.4311 9.4976 5.0161
angles: 90.00 90.00 90.00
Space group Ibam (No. 72)
Inequivalent atoms, fractional coordinates:
Er 0.1586 0.1453 0.0000 (multiplicity 8)
Co 0.0000 0.5000 0.2500 (multiplicity 4)
C 0.1582 0.1278 0.5000 (multiplicity 8)
C 0.1700 0.4213 0.0000 (multiplicity 8)



Simulated powder X-ray diffraction pattern
Compound: PrNd3Sm3
Radiation: Cu Kα
Structure: a structure optimized by DFT (GGA-PBE)
Neutral-atom scattering factors, no anomalous dispersion.

Principal peaks in the range 2θ from 10° to 80°, by angle:
(hkl)	2θ/deg	I/Imax
0 1 2	26.3	15
2 1 1	28.1	23
3 0 0	28.7	67
2 0 2	31.1	100
2 2 0	33.2	44
1 2 2	35.4	29
1 3 1	36.8	21
2 3 2	49.3	25
0 2 4	54.1	17
5 0 2	55.2	13

Structural model:
abc: 10.7923 10.7923 7.2828
angles: 90.00 90.00 120.00
Space group R3m (No. 160, hexagonal axes)
Inequivalent atoms, fractional coordinates:
Pr 0.0000 0.0000 0.0000 (multiplicity 3)
Nd 0.1870 0.3740 0.8521 (multiplicity 9)
Sm 0.2107 0.4215 0.3119 (multiplicity 9)



Simulated powder X-ray diffraction pattern
Compound: GaI2
Radiation: Cu Kα
Structure: a structure optimized by DFT (GGA-PBE)
Neutral-atom scattering factors, no anomalous dispersion.

Principal peaks in the range 2θ from 10° to 80°, by angle:
(hkl)	2θ/deg	I/Imax
3 0 0	11.2	36
5 2 0	23.5	29
5 1 1	23.9	100
1 2 2	25.0	37
1 6 1	27.3	40
2 3 2	28.3	33
6 2 1	29.6	27
3 3 3	40.1	25
7 6 1	44.8	28
12 0 0	46.1	25

Structural model:
abc: 27.2708 27.2708 7.7649
angles: 90.00 90.00 120.00
Space group R3c (No. 161, hexagonal axes)
Inequivalent atoms, fractional coordinates:
Ga 0.0012 0.1920 0.9998 (multiplicity 18)
Ga 0.0245 0.1686 0.5000 (multiplicity 18)
I 0.9995 0.1004 0.8886 (multiplicity 18)
I 0.0822 0.5131 0.8282 (multiplicity 18)
I 0.0855 0.4147 0.4055 (multiplicity 18)
I 0.1654 0.4214 0.8870 (multiplicity 18)



Simulated powder X-ray diffraction pattern
Compound: Nd2Er3Sb2
Radiation: Cu Kα
Structure: a structure optimized by DFT (GGA-PBE)
Neutral-atom scattering factors, no anomalous dispersion.

Principal peaks in the range 2θ from 10° to 80°, by angle:
(hkl)	2θ/deg	I/Imax
1 1 -2	29.3	46
3 1 -1	30.4	100
2 0 -3	31.2	55
4 0 0	31.4	54
1 1 2	33.2	80
3 1 -2	33.4	31
4 0 -3	37.0	27
0 2 0	42.0	38
2 2 -3	53.3	44
4 2 -3	57.2	35

Structural model:
abc: 12.1782 4.2985 8.6530
angles: 90.00 110.40 90.00
Space group C2/m (No. 12)
Inequivalent atoms, fractional coordinates:
Nd 0.1343 0.0000 0.2928 (multiplicity 4)
Er 0.0000 0.5000 0.5000 (multiplicity 2)
Er 0.1252 0.5000 0.9466 (multiplicity 4)
Sb 0.1677 0.0000 0.7034 (multiplicity 4)



Simulated powder X-ray diffraction pattern
Compound: AlBS
Radiation: Cu Kα
Structure: a structure optimized by DFT (GGA-PBE)
Neutral-atom scattering factors, no anomalous dispersion.

Principal peaks in the range 2θ from 10° to 80°, by angle:
(hkl)	2θ/deg	I/Imax
0 0 2	17.3	100
1 1 -1	31.8	16
1 1 1	33.4	95
1 1 -3	39.2	12
2 0 -4	43.0	23
1 1 3	43.2	46
1 1 -5	52.4	21
0 2 0	55.6	38
3 1 -3	58.7	13
4 0 0	66.5	12

Structural model:
abc: 5.7221 3.3042 10.4620
angles: 90.00 100.73 90.00
Space group Cm (No. 8)
Inequivalent atoms, fractional coordinates:
Al 0.0000 0.0000 0.0000 (multiplicity 2)
Al 0.2089 0.0000 0.6343 (multiplicity 2)
B 0.1147 0.5000 0.8478 (multiplicity 2)
B 0.2793 0.0000 0.8418 (multiplicity 2)
S 0.0028 0.5000 0.5183 (multiplicity 2)
S 0.2086 0.5000 0.1231 (multiplicity 2)



Simulated powder X-ray diffraction pattern
Compound: Pm14DyPb
Radiation: Cu Kα
Structure: a structure optimized by DFT (GGA-PBE)
Neutral-atom scattering factors, no anomalous dispersion.

Principal peaks in the range 2θ from 10° to 80°, by angle:
(hkl)	2θ/deg	I/Imax
2 0 2	30.3	100
0 0 4	35.0	17
2 2 0	35.1	34
4 0 0	50.5	36
2 0 6	59.9	14
4 2 2	60.1	29
4 0 4	63.0	12
0 0 8	74.0	2
4 4 0	74.3	4

Structural model:
abc: 7.2218 7.2218 10.2435
angles: 90.00 90.00 90.00
Space group P4/mmm (No. 123)
Inequivalent atoms, fractional coordinates:
Pm 0.0000 0.0000 0.0000 (multiplicity 1)
Pm 0.0000 0.5000 0.0000 (multiplicity 2)
Pm 0.0000 0.5000 0.5000 (multiplicity 2)
Pm 0.2489 0.2489 0.2542 (multiplicity 8)
Pm 0.5000 0.5000 0.0000 (multiplicity 1)
Dy 0.5000 0.5000 0.5000 (multiplicity 1)
Pb 0.0000 0.0000 0.5000 (multiplicity 1)



Simulated powder X-ray diffraction pattern
Compound: PmGa4Ag12
Radiation: Cu Kα
Structure: a structure optimized by DFT (GGA-PBE)
Neutral-atom scattering factors, no anomalous dispersion.

Principal peaks in the range 2θ from 10° to 80°, by angle:
(hkl)	2θ/deg	I/Imax
3 0 1	31.3	100
3 1 2	37.2	43
4 2 0	44.9	15
4 2 2	49.4	23
4 3 1	51.6	33
5 3 0	59.7	9
6 0 0	61.6	9
6 0 2	65.3	5
6 1 3	70.7	15
4 4 4	72.5	6

Structural model:
abc: 9.0325 9.0325 9.0325
angles: 90.00 90.00 90.00
Space group Im-3 (No. 204)
Inequivalent atoms, fractional coordinates:
Pm 0.0000 0.0000 0.0000 (multiplicity 2)
Ga 0.2500 0.2500 0.2500 (multiplicity 8)
Ag 0.0000 0.3456 0.1542 (multiplicity 24)



Simulated powder X-ray diffraction pattern
Compound: SrC2
Radiation: Cu Kα
Structure: a structure optimized by DFT (GGA-PBE)
Neutral-atom scattering factors, no anomalous dispersion.

Principal peaks in the range 2θ from 10° to 80°, by angle:
(hkl)	2θ/deg	I/Imax
0 0 2	21.2	31
1 0 0	25.0	66
1 0 2	33.0	100
1 1 0	44.1	28
1 1 2	49.4	21
1 0 4	50.6	27
2 0 2	56.2	21
1 1 4	63.5	11
2 0 4	69.3	10
2 1 2	74.1	18

Structural model:
abc: 4.1071 4.1071 8.3710
angles: 90.00 90.00 120.00
Space group P6_3/mmc (No. 194)
Inequivalent atoms, fractional coordinates:
Sr 0.0000 0.0000 0.0000 (multiplicity 2)
C 0.3333 0.6667 0.1748 (multiplicity 4)



Simulated powder X-ray diffraction pattern
Compound: VGaNiIr
Radiation: Cu Kα
Structure: a structure optimized by DFT (GGA-PBE)
Neutral-atom scattering factors, no anomalous dispersion.

Principal peaks in the range 2θ from 10° to 80°, by angle:
(hkl)	2θ/deg	I/Imax
0 0 2	25.0	11
1 0 1	26.3	37
1 1 0	32.8	11
1 1 2	41.7	100
1 0 3	44.8	9
2 0 0	47.1	35
0 0 4	51.2	14
2 1 1	54.7	11
2 2 0	68.8	11
2 0 4	72.2	19

Structural model:
abc: 3.8572 3.8572 7.1313
angles: 90.00 90.00 90.00
Space group I-4m2 (No. 119)
Inequivalent atoms, fractional coordinates:
V 0.0000 0.0000 0.0000 (multiplicity 2)
Ga 0.0000 0.0000 0.5000 (multiplicity 2)
Ni 0.0000 0.5000 0.2500 (multiplicity 2)
Ir 0.0000 0.5000 0.7500 (multiplicity 2)



Simulated powder X-ray diffraction pattern
Compound: TiTc2W2
Radiation: Cu Kα
Structure: a structure optimized by DFT (GGA-PBE)
Neutral-atom scattering factors, no anomalous dispersion.

Principal peaks in the range 2θ from 10° to 80°, by angle:
(hkl)	2θ/deg	I/Imax
2 0 0	13.8	56
3 1 0	29.3	23
4 0 -1	40.0	52
1 1 1	40.5	100
5 1 0	40.9	98
0 2 0	41.4	47
6 0 1	58.8	16
4 2 -1	58.9	33
3 1 -2	72.7	17
9 1 -1	73.5	17

Structural model:
abc: 12.9535 4.3618 2.7633
angles: 90.00 98.72 90.00
Space group C2/m (No. 12)
Inequivalent atoms, fractional coordinates:
Ti 0.0000 0.0000 0.0000 (multiplicity 2)
Tc 0.0998 0.5000 0.3901 (multiplicity 4)
W 0.1986 0.0000 0.7911 (multiplicity 4)